Diffraction record for Ho3InAg4S8. The XRD peak list is calculated, not measured: it uses DFT lattice parameters and positions (PBE) and a wavelength of 1.5418 Å.
Intensities are scaled so that the largest is 100.

Structural model:
```
data_Ho3InAg4S8
_chemical_formula_sum 'Ho6 In2 Ag8 S16'
_cell_length_a 14.0017
_cell_length_b 8.0456
_cell_length_c 8.9808
_cell_angle_alpha 90.00
_cell_angle_beta 123.02
_cell_angle_gamma 90.00
_symmetry_space_group_name_H-M 'C 1 2/m 1'
_symmetry_Int_Tables_number 12
_symmetry_space_group_name_Hall '-C 2y'
loop_
_atom_site_label
_atom_site_type_symbol
_atom_site_fract_x
_atom_site_fract_y
_atom_site_fract_z
Ho1 Ho 0.0000 0.0000 0.0000
Ho2 Ho 0.2500 0.2500 0.0000
In1 In 0.0000 0.5000 0.0000
Ag1 Ag 0.0000 0.0000 0.5000
Ag2 Ag 0.0000 0.5000 0.5000
Ag3 Ag 0.2500 0.2500 0.5000
S1 S 0.0979 0.5000 0.8132
S2 S 0.1007 0.0000 0.8131
S3 S 0.1472 0.2557 0.1865
```

Top 10 peaks for 10° ≤ 2θ ≤ 90°, low angle first:
- 2θ = 11.8°, I = 18, hkl 0 0 1
- 2θ = 23.6°, I = 39, hkl 0 0 2
- 2θ = 26.4°, I = 49, hkl 4 0 -2
- 2θ = 26.9°, I = 100, hkl 2 2 0
- 2θ = 29.9°, I = 39, hkl 2 2 -2
- 2θ = 30.5°, I = 19, hkl 4 0 0
- 2θ = 40.4°, I = 19, hkl 4 0 -4
- 2θ = 41.4°, I = 33, hkl 2 2 2
- 2θ = 44.9°, I = 32, hkl 6 2 -2
- 2θ = 47.6°, I = 27, hkl 2 2 -4

---

Diffraction record for Y8Ga3PSe3. The XRD peak list is calculated, not measured: it uses DFT lattice parameters and positions (PBE) and a wavelength of 1.5418 Å.
Intensities are scaled so that the largest is 100.

Structural model:
```
data_Y8Ga3PSe3
_chemical_formula_sum 'Y16 Ga6 P2 Se6'
_cell_length_a 13.7754
_cell_length_b 7.9693
_cell_length_c 8.4771
_cell_angle_alpha 90.00
_cell_angle_beta 122.75
_cell_angle_gamma 90.00
_symmetry_space_group_name_H-M 'C 1 2/m 1'
_symmetry_Int_Tables_number 12
_symmetry_space_group_name_Hall '-C 2y'
loop_
_atom_site_label
_atom_site_type_symbol
_atom_site_fract_x
_atom_site_fract_y
_atom_site_fract_z
Y1 Y 0.0009 0.2426 0.2604
Y2 Y 0.2416 0.0000 0.7398
Y3 Y 0.2481 0.5000 0.7445
Ga1 Ga 0.0000 0.0000 0.0000
Ga2 Ga 0.2500 0.2500 0.0000
P1 P 0.0000 0.0000 0.5000
Se1 Se 0.0000 0.5000 0.5000
Se2 Se 0.2500 0.2500 0.5000
```

Top 10 peaks for 10° ≤ 2θ ≤ 90°, low angle first:
- 2θ = 30.9°, I = 100, hkl 4 0 0
- 2θ = 42.8°, I = 39, hkl 2 2 2
- 2θ = 45.6°, I = 33, hkl 0 4 0
- 2θ = 51.3°, I = 8, hkl 0 0 4
- 2θ = 56.0°, I = 12, hkl 4 4 0
- 2θ = 64.3°, I = 11, hkl 8 0 0
- 2θ = 71.0°, I = 16, hkl 6 2 2
- 2θ = 75.0°, I = 9, hkl 8 4 -4
- 2θ = 76.4°, I = 7, hkl 4 0 4
- 2θ = 82.3°, I = 7, hkl 8 4 0

---

Diffraction record for Sc4InSnH. The XRD peak list is calculated, not measured: it uses DFT lattice parameters and positions (PBE) and a wavelength of 1.5418 Å.
Intensities are scaled so that the largest is 100.

Structural model:
```
data_Sc4InSnH
_chemical_formula_sum 'Sc16 In4 Sn4 H4'
_cell_length_a 6.0269
_cell_length_b 15.7697
_cell_length_c 6.0346
_cell_angle_alpha 90.00
_cell_angle_beta 90.00
_cell_angle_gamma 90.00
_symmetry_space_group_name_H-M 'C m c m'
_symmetry_Int_Tables_number 63
_symmetry_space_group_name_Hall '-C 2c 2'
loop_
_atom_site_label
_atom_site_type_symbol
_atom_site_fract_x
_atom_site_fract_y
_atom_site_fract_z
Sc1 Sc 0.0000 0.0761 0.2500
Sc2 Sc 0.0000 0.4238 0.2500
Sc3 Sc 0.2500 0.2500 0.0000
In1 In 0.0000 0.1122 0.7500
Sn1 Sn 0.0000 0.3883 0.7500
H1 H 0.0000 0.2129 0.2500
```

Top 10 peaks for 10° ≤ 2θ ≤ 90°, low angle first:
- 2θ = 21.6°, I = 80, hkl 1 1 1
- 2θ = 26.9°, I = 52, hkl 1 3 1
- 2θ = 29.6°, I = 89, hkl 2 0 0
- 2θ = 31.8°, I = 83, hkl 2 2 0
- 2θ = 34.1°, I = 44, hkl 0 6 0
- 2θ = 35.4°, I = 43, hkl 1 5 1
- 2θ = 37.5°, I = 97, hkl 0 4 2
- 2θ = 37.6°, I = 96, hkl 2 4 0
- 2θ = 42.4°, I = 100, hkl 2 0 2
- 2θ = 45.5°, I = 44, hkl 1 7 1

---

Diffraction record for Ce7NCl12. The XRD peak list is calculated, not measured: it uses DFT lattice parameters and positions (PBE) and a wavelength of 1.5418 Å.
Intensities are scaled so that the largest is 100.

Structural model:
```
data_Ce7NCl12
_chemical_formula_sum 'Ce21 N3 Cl36'
_cell_length_a 14.2414
_cell_length_b 14.2414
_cell_length_c 9.6520
_cell_angle_alpha 90.00
_cell_angle_beta 90.00
_cell_angle_gamma 120.00
_symmetry_space_group_name_H-M 'R -3'
_symmetry_Int_Tables_number 148
_symmetry_space_group_name_Hall '-R 3'
loop_
_atom_site_label
_atom_site_type_symbol
_atom_site_fract_x
_atom_site_fract_y
_atom_site_fract_z
Ce1 Ce 0.0000 0.0000 0.0000
Ce2 Ce 0.0397 0.1587 0.3490
N1 N 0.0000 0.0000 0.5000
Cl1 Cl 0.0224 0.5829 0.1607
Cl2 Cl 0.0472 0.1844 0.8374
```

Top 10 peaks for 10° ≤ 2θ ≤ 90°, low angle first:
- 2θ = 11.6°, I = 28, hkl 1 0 1
- 2θ = 12.4°, I = 78, hkl 1 1 0
- 2θ = 21.2°, I = 16, hkl 3 -1 1
- 2θ = 27.7°, I = 32, hkl 0 0 3
- 2θ = 30.5°, I = 24, hkl 2 -1 3
- 2θ = 32.1°, I = 100, hkl 3 1 2
- 2θ = 33.0°, I = 16, hkl 5 -2 1
- 2θ = 36.8°, I = 15, hkl 2 3 2
- 2θ = 46.0°, I = 65, hkl 4 -3 4
- 2θ = 57.1°, I = 14, hkl 8 -6 2

---

Diffraction record for Nb9IrS20. The XRD peak list is calculated, not measured: it uses DFT lattice parameters and positions (PBE) and a wavelength of 1.5418 Å.
Intensities are scaled so that the largest is 100.

Structural model:
```
data_Nb9IrS20
_chemical_formula_sum 'Nb9 Ir1 S20'
_cell_length_a 6.8013
_cell_length_b 9.4962
_cell_length_c 11.0489
_cell_angle_alpha 82.09
_cell_angle_beta 81.51
_cell_angle_gamma 69.11
_symmetry_space_group_name_H-M 'P -1'
_symmetry_Int_Tables_number 2
_symmetry_space_group_name_Hall '-P 1'
loop_
_atom_site_label
_atom_site_type_symbol
_atom_site_fract_x
_atom_site_fract_y
_atom_site_fract_z
Nb1 Nb 0.0000 0.0000 0.0000
Nb2 Nb 0.0673 0.2108 0.2222
Nb3 Nb 0.2114 0.3966 0.3920
Nb4 Nb 0.3055 0.5902 0.5853
Nb5 Nb 0.4014 0.8213 0.8212
Ir1 Ir 0.5000 0.0000 0.0000
S1 S 0.0512 0.6715 0.4368
S2 S 0.0546 0.5197 0.7587
S3 S 0.1515 0.7271 0.9571
S4 S 0.1728 0.8724 0.6375
S5 S 0.2460 0.9393 0.1580
S6 S 0.2559 0.0872 0.8430
S7 S 0.3395 0.2633 0.0385
S8 S 0.3452 0.1249 0.3608
S9 S 0.4475 0.3193 0.5634
S10 S 0.4612 0.4604 0.2397
```

Top 10 peaks for 10° ≤ 2θ ≤ 90°, low angle first:
- 2θ = 13.5°, I = 100, hkl 0 1 -1
- 2θ = 30.4°, I = 9, hkl 2 2 2
- 2θ = 33.3°, I = 43, hkl 2 1 -2
- 2θ = 33.5°, I = 22, hkl 2 1 3
- 2θ = 40.9°, I = 10, hkl 0 4 1
- 2θ = 41.0°, I = 14, hkl 2 -2 1
- 2θ = 41.2°, I = 13, hkl 2 2 -3
- 2θ = 41.5°, I = 16, hkl 2 0 4
- 2θ = 51.9°, I = 13, hkl 2 -3 2
- 2θ = 53.9°, I = 10, hkl 4 2 1

---

Diffraction record for Y2VB. The XRD peak list is calculated, not measured: it uses DFT lattice parameters and positions (PBE) and a wavelength of 1.5418 Å.
Intensities are scaled so that the largest is 100.

Structural model:
```
data_Y2VB
_chemical_formula_sum 'Y8 V4 B4'
_cell_length_a 9.5608
_cell_length_b 9.5608
_cell_length_c 4.1272
_cell_angle_alpha 90.00
_cell_angle_beta 90.00
_cell_angle_gamma 90.00
_symmetry_space_group_name_H-M 'I -4 2 d'
_symmetry_Int_Tables_number 122
_symmetry_space_group_name_Hall 'I -4 2bw'
loop_
_atom_site_label
_atom_site_type_symbol
_atom_site_fract_x
_atom_site_fract_y
_atom_site_fract_z
Y1 Y 0.0892 0.2500 0.1250
V1 V 0.0000 0.0000 0.5000
B1 B 0.0000 0.0000 0.0000
```

Top 10 peaks for 10° ≤ 2θ ≤ 90°, low angle first:
- 2θ = 23.5°, I = 12, hkl 1 0 1
- 2θ = 29.5°, I = 56, hkl 3 1 0
- 2θ = 30.1°, I = 100, hkl 2 1 1
- 2θ = 40.4°, I = 17, hkl 3 2 1
- 2θ = 42.3°, I = 25, hkl 4 2 0
- 2θ = 44.8°, I = 13, hkl 4 1 1
- 2θ = 46.0°, I = 10, hkl 1 1 2
- 2θ = 48.0°, I = 12, hkl 2 0 2
- 2θ = 52.8°, I = 15, hkl 5 0 1
- 2θ = 60.9°, I = 12, hkl 3 3 2

---

Diffraction record for SrAl10Pd2. The XRD peak list is calculated, not measured: it uses DFT lattice parameters and positions (PBE) and a wavelength of 1.5418 Å.
Intensities are scaled so that the largest is 100.

Structural model:
```
data_SrAl10Pd2
_chemical_formula_sum 'Sr4 Al40 Pd8'
_cell_length_a 9.1860
_cell_length_b 10.4473
_cell_length_c 9.4668
_cell_angle_alpha 90.00
_cell_angle_beta 90.00
_cell_angle_gamma 90.00
_symmetry_space_group_name_H-M 'C m c m'
_symmetry_Int_Tables_number 63
_symmetry_space_group_name_Hall '-C 2c 2'
loop_
_atom_site_label
_atom_site_type_symbol
_atom_site_fract_x
_atom_site_fract_y
_atom_site_fract_z
Sr1 Sr 0.0000 0.1235 0.2500
Al1 Al 0.0000 0.1612 0.6048
Al2 Al 0.0000 0.3857 0.0595
Al3 Al 0.1438 0.3787 0.7500
Al4 Al 0.2225 0.0000 0.0000
Al5 Al 0.2320 0.3699 0.2500
Pd1 Pd 0.2500 0.2500 0.0000
```

Top 10 peaks for 10° ≤ 2θ ≤ 90°, low angle first:
- 2θ = 17.0°, I = 76, hkl 0 2 0
- 2θ = 27.1°, I = 88, hkl 2 0 2
- 2θ = 32.1°, I = 52, hkl 2 2 2
- 2θ = 38.0°, I = 56, hkl 0 0 4
- 2θ = 38.7°, I = 58, hkl 2 2 3
- 2θ = 39.2°, I = 74, hkl 4 0 0
- 2θ = 39.4°, I = 100, hkl 0 4 2
- 2θ = 39.7°, I = 79, hkl 2 4 0
- 2θ = 43.0°, I = 53, hkl 2 0 4
- 2θ = 44.2°, I = 68, hkl 2 4 2

---

Diffraction record for Sr3Tl2Ag4. The XRD peak list is calculated, not measured: it uses DFT lattice parameters and positions (PBE) and a wavelength of 1.5418 Å.
Intensities are scaled so that the largest is 100.

Structural model:
```
data_Sr3Tl2Ag4
_chemical_formula_sum 'Sr6 Tl4 Ag8'
_cell_length_a 11.9759
_cell_length_b 4.8882
_cell_length_c 9.6105
_cell_angle_alpha 90.00
_cell_angle_beta 112.67
_cell_angle_gamma 90.00
_symmetry_space_group_name_H-M 'C 1 2/m 1'
_symmetry_Int_Tables_number 12
_symmetry_space_group_name_Hall '-C 2y'
loop_
_atom_site_label
_atom_site_type_symbol
_atom_site_fract_x
_atom_site_fract_y
_atom_site_fract_z
Sr1 Sr 0.0000 0.0000 0.0000
Sr2 Sr 0.1455 0.5000 0.6886
Tl1 Tl 0.1479 0.5000 0.3135
Ag1 Ag 0.0801 0.0000 0.4202
Ag2 Ag 0.2253 0.5000 0.0585
```

Top 10 peaks for 10° ≤ 2θ ≤ 90°, low angle first:
- 2θ = 22.0°, I = 34, hkl 2 0 1
- 2θ = 26.0°, I = 18, hkl 1 1 -2
- 2θ = 30.3°, I = 45, hkl 0 0 3
- 2θ = 30.4°, I = 76, hkl 3 1 0
- 2θ = 30.5°, I = 38, hkl 1 1 2
- 2θ = 35.8°, I = 100, hkl 3 1 -3
- 2θ = 36.8°, I = 52, hkl 0 2 0
- 2θ = 42.3°, I = 17, hkl 5 1 -2
- 2θ = 48.3°, I = 25, hkl 0 2 3
- 2θ = 65.6°, I = 17, hkl 3 3 -3

---

Diffraction record for Cs3Nb6SBr17. The XRD peak list is calculated, not measured: it uses DFT lattice parameters and positions (PBE) and a wavelength of 1.5418 Å.
Intensities are scaled so that the largest is 100.

Structural model:
```
data_Cs3Nb6SBr17
_chemical_formula_sum 'Cs12 Nb24 S4 Br68'
_cell_length_a 18.2250
_cell_length_b 19.8226
_cell_length_c 9.6545
_cell_angle_alpha 90.00
_cell_angle_beta 91.45
_cell_angle_gamma 90.00
_symmetry_space_group_name_H-M 'C 1 2/c 1'
_symmetry_Int_Tables_number 15
_symmetry_space_group_name_Hall '-C 2yc'
loop_
_atom_site_label
_atom_site_type_symbol
_atom_site_fract_x
_atom_site_fract_y
_atom_site_fract_z
Cs1 Cs 0.0000 0.0459 0.2500
Cs2 Cs 0.2120 0.4447 0.1779
Nb1 Nb 0.0158 0.3185 0.5213
Nb2 Nb 0.0702 0.1904 0.6448
Nb3 Nb 0.1217 0.3217 0.7635
S1 S 0.0000 0.2771 0.7500
Br1 Br 0.0000 0.3789 0.2500
Br2 Br 0.0568 0.4283 0.8894
Br3 Br 0.0618 0.1286 0.8951
Br4 Br 0.0778 0.2212 0.3835
Br5 Br 0.1220 0.2750 0.0256
Br6 Br 0.1269 0.0679 0.5645
Br7 Br 0.1399 0.3854 0.5267
Br8 Br 0.2078 0.2244 0.6848
Br9 Br 0.2483 0.3867 0.8366
```

Top 10 peaks for 10° ≤ 2θ ≤ 90°, low angle first:
- 2θ = 11.2°, I = 23, hkl 1 1 -1
- 2θ = 11.4°, I = 41, hkl 1 1 1
- 2θ = 26.6°, I = 35, hkl 4 0 -2
- 2θ = 29.7°, I = 91, hkl 5 3 1
- 2θ = 30.2°, I = 93, hkl 2 6 -1
- 2θ = 31.4°, I = 100, hkl 1 3 3
- 2θ = 37.1°, I = 35, hkl 7 3 0
- 2θ = 38.2°, I = 32, hkl 4 6 -2
- 2θ = 40.0°, I = 38, hkl 1 3 -4
- 2θ = 48.0°, I = 39, hkl 3 9 2

---

Diffraction record for Tb6PmY3Tm2. The XRD peak list is calculated, not measured: it uses DFT lattice parameters and positions (PBE) and a wavelength of 1.5418 Å.
Intensities are scaled so that the largest is 100.

Structural model:
```
data_Tb6PmY3Tm2
_chemical_formula_sum 'Tb12 Pm2 Y6 Tm4'
_cell_length_a 6.1658
_cell_length_b 10.6686
_cell_length_c 11.7935
_cell_angle_alpha 90.00
_cell_angle_beta 99.97
_cell_angle_gamma 90.00
_symmetry_space_group_name_H-M 'C 1 2/m 1'
_symmetry_Int_Tables_number 12
_symmetry_space_group_name_Hall '-C 2y'
loop_
_atom_site_label
_atom_site_type_symbol
_atom_site_fract_x
_atom_site_fract_y
_atom_site_fract_z
Tb1 Tb 0.2493 0.1670 0.2508
Tb2 Tb 0.2495 0.0000 0.7491
Pm1 Pm 0.0000 0.5000 0.5000
Y1 Y 0.0000 0.0000 0.0000
Y2 Y 0.0000 0.3330 0.0000
Tm1 Tm 0.0000 0.1667 0.5000
```

Top 10 peaks for 10° ≤ 2θ ≤ 90°, low angle first:
- 2θ = 30.8°, I = 100, hkl 1 3 1
- 2θ = 35.7°, I = 51, hkl 2 0 2
- 2θ = 51.4°, I = 36, hkl 1 3 5
- 2θ = 61.0°, I = 14, hkl 4 0 0
- 2θ = 61.1°, I = 28, hkl 0 6 4
- 2θ = 64.1°, I = 12, hkl 2 6 2
- 2θ = 83.8°, I = 9, hkl 4 6 0
- 2θ = 83.8°, I = 9, hkl 1 9 1
- 2θ = 86.5°, I = 8, hkl 5 3 1
- 2θ = 86.6°, I = 8, hkl 0 6 8

---

Diffraction record for HfZn6Co6. The XRD peak list is calculated, not measured: it uses DFT lattice parameters and positions (PBE) and a wavelength of 1.5418 Å.
Intensities are scaled so that the largest is 100.

Structural model:
```
data_HfZn6Co6
_chemical_formula_sum 'Hf2 Zn12 Co12'
_cell_length_a 4.8471
_cell_length_b 8.4242
_cell_length_c 8.4313
_cell_angle_alpha 90.00
_cell_angle_beta 90.00
_cell_angle_gamma 90.00
_symmetry_space_group_name_H-M 'I m m m'
_symmetry_Int_Tables_number 71
_symmetry_space_group_name_Hall '-I 2 2'
loop_
_atom_site_label
_atom_site_type_symbol
_atom_site_fract_x
_atom_site_fract_y
_atom_site_fract_z
Hf1 Hf 0.0000 0.0000 0.0000
Zn1 Zn 0.0000 0.0000 0.3474
Zn2 Zn 0.0000 0.3361 0.0000
Zn3 Zn 0.0000 0.5000 0.3051
Co1 Co 0.0000 0.2719 0.5000
Co2 Co 0.2500 0.2500 0.2500
```

Top 10 peaks for 10° ≤ 2θ ≤ 90°, low angle first:
- 2θ = 30.0°, I = 14, hkl 1 1 2
- 2θ = 33.6°, I = 11, hkl 0 3 1
- 2θ = 37.0°, I = 40, hkl 1 0 3
- 2θ = 37.1°, I = 13, hkl 2 0 0
- 2θ = 42.9°, I = 100, hkl 0 4 0
- 2θ = 43.1°, I = 42, hkl 2 0 2
- 2θ = 48.3°, I = 10, hkl 0 2 4
- 2θ = 48.4°, I = 18, hkl 2 2 2
- 2θ = 70.9°, I = 14, hkl 3 2 3
- 2θ = 78.7°, I = 24, hkl 2 0 6